Simulated powder XRD pattern of Pu2U2Tc3 for Cu Kα, from DFT lattice parameters and positions (GGA-PBE).
Lines closer than 0.1° are merged.

The 10 most intense peaks (10 to 90 degrees two-theta), most intense first:
- d = 2.414 Å, rel. 100
- d = 2.264 Å, rel. 91
- d = 1.651 Å, rel. 32
- d = 1.334 Å, rel. 32
- d = 1.913 Å, rel. 19
- d = 3.575 Å, rel. 17
- d = 1.307 Å, rel. 16
- d = 3.857 Å, rel. 16
- d = 1.427 Å, rel. 15
- d = 1.132 Å, rel. 11

Atomic structure:
```
data_Pu2U2Tc3
_cell_length_a 4.5275
_cell_length_b 4.5275
_cell_length_c 21.4487
_cell_angle_alpha 90.00
_cell_angle_beta 90.00
_cell_angle_gamma 120.00
_space_group_name_H-M_alt 'R -3 m'
_space_group_IT_number 166
_space_group_name_Hall '-R 3 2"'
loop_
_atom_site_label
_atom_site_fract_x
_atom_site_fract_y
_atom_site_fract_z
Pu1 0.0000 0.0000 0.0728
U1 0.0000 0.0000 0.2242
Tc1 0.0000 0.0000 0.3634
Tc2 0.0000 0.0000 0.5000
```